For Ho2ScTl3S6, the GGA-PBE geometry in Alexandria gives the computed X-ray powder pattern in this record (Cu Ka).
Kinematic intensities with the Lorentz-polarization factor, no thermal factor.

Principal peaks in the range 10 to 90 degrees two-theta, in order of rising 2θ:
2θ/deg, intensity
23.70, 31
27.27, 60
30.60, 100
41.55, 13
41.57, 26
46.01, 33
48.43, 24
52.39, 24
56.28, 12
75.53, 15

```
Ho2ScTl3S6
1.0
3.418 -5.916 0.000
3.418 5.916 0.000
-2.277 0.000 7.508
Ho Sc Tl S
2 1 3 6
Direct
0.167 0.833 0.000
0.833 0.167 0.000
0.500 0.500 0.000
0.000 0.000 0.500
0.332 0.668 0.500
0.668 0.332 0.500
0.114 0.435 0.807
0.243 0.243 0.196
0.435 0.114 0.807
0.565 0.886 0.193
0.757 0.757 0.804
0.886 0.565 0.193
```